For Na5V7O14, a crystal structure in Alexandria, relaxed with PBE+U gives the theoretical X-ray diffraction stick pattern in this record (Cu Kα (weighted mean of Kα1 and Kα2)).
Intensities are scaled so that the largest is 100.

Cell and atoms:
```
26
Lattice="5.2392 0.0000 0.0000 -1.0169 7.1586 0.0000 -1.9010 -0.4159 8.1616" Properties=species:S:1:pos:R:3 pbc="T T T"
Na 0.0000 0.0000 0.0000
Na -0.1604 3.8198 4.6146
Na -0.2652 5.6973 6.9240
Na 2.5865 1.0454 1.2376
Na 2.4818 2.9229 3.5470
V -0.9578 0.7476 5.2722
V -1.1060 2.6767 7.5791
V 0.7270 4.9975 1.7280
V 1.6691 -0.2079 4.0808
V 1.5944 1.7452 6.4337
V 3.4274 4.0660 0.5826
V 3.2791 5.9951 2.8895
O -1.0833 4.1781 2.3897
O -2.0173 4.4657 8.0665
O -0.9600 6.1217 4.6931
O -0.1495 6.7644 2.2330
O -0.1852 0.8471 7.1321
O 0.7707 1.5662 4.5792
O 1.6854 3.2542 1.2306
O 0.6359 3.4885 6.9310
O 1.5507 5.1765 3.5824
O 2.5066 5.8957 1.0296
O 2.4708 -0.0217 5.9287
O 3.2814 0.6210 3.4685
O 4.3386 2.2770 0.0951
O 3.4046 2.5646 5.7719
```

Principal peaks in the range 2θ = 5–70°, by angle:
| 2θ/deg | intensity | (hkl) |
| --- | --- | --- |
| 16.06 | 100.0 | 0 1 -1 |
| 32.45 | 14.2 | 0 2 -2 |
| 40.30 | 38.2 | -1 3 1 |
| 40.83 | 36.3 | 2 1 -2 |
| 41.18 | 35.3 | 1 0 3 |
| 56.58 | 19.5 | 2 -3 2 |
| 56.91 | 9.6 | 1 4 -1 |
| 60.48 | 10.0 | -3 2 3 |
| 61.29 | 9.5 | 0 3 4 |
| 62.14 | 9.1 | 3 1 1 |